Entry 1:
For Na4CuSn3Se8, DFT lattice parameters and positions (PBE) gives the calculated powder XRD pattern in this record (a wavelength of 1.5418 Å).

Atomic structure:
Lattice parameters (Å, degrees): 8.008 8.008 8.482 118.28 118.28 59.08
Fractional positions:
Na 0.000 0.000 0.000
Na 0.000 0.500 0.000
Na 0.500 0.000 0.000
Na 0.500 0.500 0.000
Cu 0.000 0.000 0.500
Sn 0.000 0.500 0.500
Sn 0.500 0.000 0.500
Sn 0.500 0.500 0.500
Se 0.225 0.757 0.708
Se 0.243 0.775 0.292
Se 0.247 0.247 0.727
Se 0.257 0.257 0.269
Se 0.743 0.743 0.731
Se 0.753 0.753 0.273
Se 0.757 0.225 0.708
Se 0.775 0.243 0.292

Top 12 peaks for 2θ = 15–90°, low angle first:
2θ = 30.60°, intensity 54.4
2θ = 30.99°, intensity 100.0
2θ = 39.56°, intensity 16.4
2θ = 42.77°, intensity 17.4
2θ = 42.89°, intensity 37.5
2θ = 45.30°, intensity 36.2
2θ = 45.97°, intensity 17.0
2θ = 47.18°, intensity 10.9
2θ = 51.38°, intensity 8.7
2θ = 55.56°, intensity 9.2
2θ = 56.24°, intensity 18.2
2θ = 64.59°, intensity 9.7

Entry 2:
For CaPr12Tm6, DFT lattice parameters and positions (PBE) gives the calculated powder XRD pattern in this record (a wavelength of 1.5418 Å).

Atomic structure:
Lattice parameters (Å, degrees): 9.912 9.912 9.912 111.86 111.86 111.86
Fractional positions:
Ca 0.000 0.000 0.000
Pr 0.066 0.713 0.713
Pr 0.121 0.500 0.879
Pr 0.121 0.879 0.500
Pr 0.287 0.287 0.934
Pr 0.287 0.934 0.287
Pr 0.500 0.121 0.879
Pr 0.500 0.879 0.121
Pr 0.713 0.066 0.713
Pr 0.713 0.713 0.066
Pr 0.879 0.121 0.500
Pr 0.879 0.500 0.121
Pr 0.934 0.287 0.287
Tm 0.286 0.286 0.558
Tm 0.286 0.558 0.286
Tm 0.442 0.714 0.714
Tm 0.558 0.286 0.286
Tm 0.714 0.442 0.714
Tm 0.714 0.714 0.442

Top 12 peaks for 2θ = 15–90°, low angle first:
2θ = 24.80°, intensity 26.6
2θ = 26.41°, intensity 76.9
2θ = 27.10°, intensity 41.9
2θ = 30.64°, intensity 100.0
2θ = 32.57°, intensity 25.3
2θ = 32.72°, intensity 94.5
2θ = 32.84°, intensity 25.6
2θ = 33.15°, intensity 51.3
2θ = 36.40°, intensity 25.5
2θ = 37.82°, intensity 21.3
2θ = 47.26°, intensity 22.5
2θ = 53.12°, intensity 30.0

Entry 3:
For Zn, DFT lattice parameters and positions (PBE) gives the calculated powder XRD pattern in this record (a wavelength of 1.5418 Å).

Atomic structure:
Lattice parameters (Å, degrees): 6.660 6.660 6.660 96.24 96.24 141.51
Fractional positions:
Zn 0.099 0.397 0.496
Zn 0.197 0.698 0.895
Zn 0.302 0.197 0.499
Zn 0.397 0.901 0.298
Zn 0.603 0.099 0.702
Zn 0.698 0.803 0.501
Zn 0.803 0.302 0.105
Zn 0.901 0.603 0.504

Top 12 peaks for 2θ = 15–90°, low angle first:
2θ = 19.97°, intensity 27.6
2θ = 28.39°, intensity 24.3
2θ = 31.82°, intensity 20.1
2θ = 41.12°, intensity 34.7
2θ = 42.02°, intensity 100.0
2θ = 43.67°, intensity 16.5
2θ = 46.94°, intensity 73.3
2θ = 67.53°, intensity 22.3
2θ = 75.57°, intensity 27.2
2θ = 79.08°, intensity 14.3
2θ = 81.85°, intensity 14.6
2θ = 89.90°, intensity 14.5